# Pm2Ge3Pt
Computed powder X-ray diffraction pattern, Cu Ka. Input: a crystal structure in Alexandria, relaxed with PBE.
No peak broadening, texture or thermal motion is included.

Top 10 peaks for 2θ from 10° to 90°, sorted by position:
hkl  d [Å]  I/Imax
0 0 1  7.272  13
1 1 1  2.786  100
1 0 2  2.728  52
0 2 0  2.211  26
0 1 3  2.126  46
2 0 0  2.062  21
1 2 2  1.718  26
2 2 0  1.508  15
2 1 3  1.480  29
1 3 1  1.363  12

```
data_Pm2Ge3Pt
_cell_length_a 4.1246
_cell_length_b 4.4218
_cell_length_c 7.2723
_cell_angle_alpha 90.00
_cell_angle_beta 90.00
_cell_angle_gamma 90.00
_space_group_name_H-M_alt 'P m m 2'
_space_group_IT_number 25
_space_group_name_Hall 'P 2 -2'
loop_
_atom_site_label
_atom_site_type_symbol
_atom_site_fract_x
_atom_site_fract_y
_atom_site_fract_z
_atom_site_occupancy
Pm1 Pm 0.0000 0.0000 0.0000 1
Pm2 Pm 0.0000 0.5000 0.4988 1
Ge1 Ge 0.5000 0.0000 0.6624 1
Ge2 Ge 0.5000 0.5000 0.1733 1
Ge3 Ge 0.5000 0.5000 0.8303 1
Pt1 Pt 0.5000 0.0000 0.3256 1
```

***

# Tm3Sc4Pt4
Computed powder X-ray diffraction pattern, Cu Ka. Input: a crystal structure in Alexandria, relaxed with PBE.
No peak broadening, texture or thermal motion is included.

Top 10 peaks for 2θ from 10° to 90°, sorted by position:
hkl  d [Å]  I/Imax
0 2 0  3.970  18
1 2 1  2.826  94
0 1 5  2.724  26
1 1 4  2.591  100
1 3 2  2.138  30
2 0 0  2.094  31
0 3 5  1.955  25
2 3 5  1.429  19
1 2 9  1.406  18
1 5 4  1.374  22

```
data_Tm3Sc4Pt4
_cell_length_a 4.1886
_cell_length_b 7.9396
_cell_length_c 14.5031
_cell_angle_alpha 90.00
_cell_angle_beta 90.00
_cell_angle_gamma 90.00
_space_group_name_H-M_alt 'I m m m'
_space_group_IT_number 71
_space_group_name_Hall '-I 2 2'
loop_
_atom_site_label
_atom_site_type_symbol
_atom_site_fract_x
_atom_site_fract_y
_atom_site_fract_z
_atom_site_occupancy
Tm1 Tm 0.0000 0.0000 0.0000 1
Tm2 Tm 0.0000 0.5000 0.1098 1
Sc1 Sc 0.0000 0.3044 0.3292 1
Pt1 Pt 0.0000 0.0000 0.2247 1
Pt2 Pt 0.0000 0.1875 0.5000 1
```

***

# Ca2Ga3Au5
Computed powder X-ray diffraction pattern, Cu Ka. Input: a crystal structure in Alexandria, relaxed with PBE.
No peak broadening, texture or thermal motion is included.

Top 10 peaks for 2θ from 10° to 90°, sorted by position:
hkl  d [Å]  I/Imax
1 3 0  3.997  36
1 3 1  3.496  44
1 3 2  2.677  100
1 7 1  2.604  69
1 5 2  2.456  84
0 2 3  2.359  41
1 9 0  2.352  41
2 0 0  2.286  90
0 12 0  2.058  58
1 9 2  1.970  66

```
data_Ca2Ga3Au5
_cell_length_a 4.5726
_cell_length_b 24.6780
_cell_length_c 7.2103
_cell_angle_alpha 90.00
_cell_angle_beta 90.00
_cell_angle_gamma 90.00
_space_group_name_H-M_alt 'C m c 21'
_space_group_IT_number 36
_space_group_name_Hall 'C 2c -2'
loop_
_atom_site_label
_atom_site_type_symbol
_atom_site_fract_x
_atom_site_fract_y
_atom_site_fract_z
_atom_site_occupancy
Ca1 Ca 0.0000 0.0205 0.0000 1
Ca2 Ca 0.0000 0.3218 0.0689 1
Ga1 Ga 0.0000 0.1077 0.3181 1
Ga2 Ga 0.0000 0.2787 0.6004 1
Ga3 Ga 0.0000 0.4504 0.1869 1
Au1 Au 0.0000 0.1021 0.6952 1
Au2 Au 0.0000 0.2052 0.8821 1
Au3 Au 0.0000 0.2126 0.3065 1
Au4 Au 0.0000 0.3800 0.4757 1
Au5 Au 0.0000 0.4477 0.8037 1
```